# Ac2DyMnO6
Theoretical X-ray diffraction stick pattern, Cu Kα (weighted mean of Kα1 and Kα2). Input: a DFT-relaxed cell (PBE+U, Alexandria).

Principal peaks in the range 2θ from 10° to 90°, in order of rising 2θ:
- 2θ 30.2, rel. 100, hkl 1 1 1
- 2θ 30.6, rel. 33, hkl 0 2 0
- 2θ 30.8, rel. 67, hkl 3 1 -1
- 2θ 43.6, rel. 34, hkl 2 2 -2
- 2θ 43.8, rel. 16, hkl 4 0 0
- 2θ 53.4, rel. 22, hkl 2 0 2
- 2θ 54.4, rel. 15, hkl 4 2 0
- 2θ 54.5, rel. 29, hkl 5 1 -3

Crystal structure
```
data_Ac2DyMnO6
_chemical_formula_sum 'Ac4 Dy2 Mn2 O12'
_space_group_name_H-M_alt 'C 1 2/m 1'
_space_group_IT_number 12
_cell_length_a 10.023
_cell_length_b 5.844
_cell_length_c 5.907
_cell_angle_alpha 90.00
_cell_angle_beta 124.45
_cell_angle_gamma 90.00
loop_
_space_group_symop_operation_xyz
'x,y,z'
'-x,-y,-z'
'-x,y,-z'
'x,-y,z'
'x+1/2,y+1/2,z'
'-x+1/2,-y+1/2,-z'
'-x+1/2,y+1/2,-z'
'x+1/2,-y+1/2,z'
loop_
_atom_site_label
_atom_site_type_symbol
_atom_site_fract_x
_atom_site_fract_y
_atom_site_fract_z
_atom_site_occupancy
Ac1 Ac 0.246 0.000 0.231 1
Dy1 Dy 0.000 0.000 0.500 1
Mn1 Mn 0.000 0.500 0.000 1
O1 O 0.052 0.259 0.817 1
O2 O 0.234 0.500 0.325 1
```